Entry 1:
Theoretical X-ray powder pattern
Compound: Ac4LaY6
Radiation: CuKα
Structure: a cell relaxed with GGA-PBE
Intensities are scaled so that the largest is 100.

Largest 10 diffraction maxima, sorted by position, 2θ = 10–80°:
2θ (°)	d/Å	I (rel.)
20.41	4.351	29
24.11	3.691	24
26.67	3.342	66
27.61	3.231	74
28.40	3.143	100
30.87	2.897	24
34.36	2.610	30
40.49	2.228	20
51.36	1.779	31
53.37	1.717	22

Crystal structure
```
Ac4LaY6
1.0
-3.691 3.691 7.873
3.691 -3.691 7.873
3.691 3.691 -7.873
Ac La Y
4 1 6
direct
0.113 0.113 0.593
0.479 0.887 0.000
0.521 0.521 0.407
0.887 0.479 0.000
0.500 0.500 0.000
0.000 0.500 0.500
0.067 0.748 0.000
0.252 0.252 0.319
0.500 0.000 0.500
0.748 0.067 0.000
0.933 0.933 0.681
```

***

Entry 2:
Theoretical X-ray powder pattern
Compound: Y12Ho6Pu
Radiation: CuKα
Structure: a cell relaxed with GGA-PBE
Intensities are scaled so that the largest is 100.

Largest 10 diffraction maxima, sorted by position, 2θ = 10–80°:
2θ (°)	d/Å	I (rel.)
11.44	7.735	15
20.29	4.376	4
26.08	3.417	2
30.86	2.898	100
33.01	2.714	3
35.78	2.510	50
51.50	1.775	36
61.25	1.513	42
64.29	1.449	12
75.81	1.255	5

Crystal structure
```
Y12Ho6Pu
1.0
7.735 4.466 2.898
-7.735 4.466 2.898
0.000 -8.932 2.898
Y Ho Pu
12 6 1
direct
0.058 0.374 0.583
0.104 0.738 0.155
0.155 0.104 0.738
0.262 0.845 0.896
0.374 0.583 0.058
0.417 0.942 0.626
0.583 0.058 0.374
0.626 0.417 0.942
0.738 0.155 0.104
0.845 0.896 0.262
0.896 0.262 0.845
0.942 0.626 0.417
0.210 0.470 0.314
0.314 0.210 0.470
0.470 0.314 0.210
0.530 0.686 0.790
0.686 0.790 0.530
0.790 0.530 0.686
0.000 0.000 0.000
```

***

Entry 3:
Theoretical X-ray powder pattern
Compound: KCdInSbBr
Radiation: CuKα
Structure: a cell relaxed with GGA-PBE
Intensities are scaled so that the largest is 100.

Largest 10 diffraction maxima, sorted by position, 2θ = 10–80°:
2θ (°)	d/Å	I (rel.)
18.80	4.719	19
23.40	3.802	100
28.63	3.118	77
35.81	2.508	68
37.51	2.398	84
38.75	2.324	19
44.14	2.052	33
47.86	1.901	18
52.82	1.733	22
66.57	1.405	21

Crystal structure
```
KCdInSbBr
1.0
4.796 0.000 0.000
-2.398 4.153 0.000
0.000 0.000 9.438
K Cd In Sb Br
1 1 1 1 1
direct
0.000 0.000 0.000
0.333 0.667 0.454
0.667 0.333 0.723
0.000 0.000 0.560
0.333 0.667 0.157
```

***

Entry 4:
Theoretical X-ray powder pattern
Compound: Tb5NdSc
Radiation: CuKα
Structure: a cell relaxed with GGA-PBE
Intensities are scaled so that the largest is 100.

Largest 10 diffraction maxima, sorted by position, 2θ = 10–80°:
2θ (°)	d/Å	I (rel.)
26.13	3.411	27
31.03	2.882	79
31.66	2.826	45
31.79	2.815	34
31.98	2.799	81
32.11	2.788	100
32.81	2.729	47
33.42	2.681	28
51.06	1.789	27
61.47	1.509	23

Crystal structure
```
Tb5NdSc
1.0
9.268 0.000 0.000
0.000 3.577 0.000
-3.204 0.000 13.405
Tb Nd Sc
10 2 2
direct
0.010 0.250 0.375
0.203 0.750 0.881
0.333 0.750 0.507
0.349 0.250 0.720
0.417 0.250 0.082
0.583 0.750 0.918
0.651 0.750 0.280
0.667 0.250 0.493
0.797 0.250 0.119
0.990 0.750 0.625
0.110 0.750 0.133
0.890 0.250 0.867
0.350 0.250 0.307
0.650 0.750 0.693
```

***

What is the formula in the second record?
Y12Ho6Pu